For CsCaAcCl6, a structure optimized by DFT (GGA-PBE) gives the simulated X-ray diffraction stick pattern in this record (Cu Kα (λ = 1.5418 Å)).
Kinematic intensities with the Lorentz-polarization factor, no thermal factor.

Principal peaks in the range 2θ from 15° to 90°, sorted by position:
| 2theta | intensity |
| --- | --- |
| 17.50 | 15 |
| 19.86 | 100 |
| 21.29 | 44 |
| 26.28 | 33 |
| 30.01 | 22 |
| 32.00 | 20 |
| 36.03 | 28 |
| 36.47 | 19 |
| 40.34 | 18 |
| 44.25 | 16 |

Cell and atoms:
Unit cell a=10.3863 b=10.3863 c=10.3863 alpha=121.58 beta=118.69 gamma=89.79
Sites, in units of the cell vectors:
Cs 0.2820 0.0320 0.2500
Cs 0.7180 0.9680 0.7500
Ca 0.0000 0.0000 0.5000
Ca 0.0000 0.5000 0.0000
Ac 0.0000 0.5000 0.5000
Ac 0.5000 0.5000 0.0000
Cl 0.0502 0.3991 0.2159
Cl 0.0502 0.8343 0.6511
Cl 0.0540 0.8040 0.2500
Cl 0.3168 0.1657 0.7159
Cl 0.3168 0.6009 0.1511
Cl 0.3329 0.5829 0.7500
Cl 0.6671 0.4171 0.2500
Cl 0.6832 0.3991 0.8489
Cl 0.6832 0.8343 0.2841
Cl 0.9460 0.1960 0.7500
Cl 0.9498 0.1657 0.3489
Cl 0.9498 0.6009 0.7841